Structure and computed powder XRD pattern of CaPmZn2 (the GGA-PBE geometry in the Materials Project; a wavelength of 1.5418 Å).

Largest 8 diffraction maxima, in order of falling intensity, 15° ≤ 2θ ≤ 90°:
| d [Å] | 2theta | I/Imax |
| --- | --- | --- |
| 2.594 | 34.6 | 100 |
| 1.497 | 62.0 | 35 |
| 4.235 | 21.0 | 23 |
| 1.834 | 49.7 | 17 |
| 1.160 | 83.3 | 15 |
| 2.212 | 40.8 | 13 |
| 1.297 | 72.9 | 11 |
| 1.683 | 54.5 | 6 |

Structure:
```
CaPmZn2
1.0
0.0000 3.6680 3.6680
3.6680 0.0000 3.6680
3.6680 3.6680 0.0000
Ca Pm Zn
1 1 2
Direct
0.0000 0.0000 0.0000 Ca
0.5000 0.5000 0.5000 Pm
0.2500 0.2500 0.2500 Zn
0.7500 0.7500 0.7500 Zn
```

Structure and computed powder XRD pattern of CaPr3 (the GGA-PBE geometry in the Materials Project; a wavelength of 1.5418 Å).

Largest 8 diffraction maxima, in order of falling intensity, 15° ≤ 2θ ≤ 90°:
| d [Å] | 2theta | I/Imax |
| --- | --- | --- |
| 2.876 | 31.1 | 100 |
| 3.034 | 29.4 | 26 |
| 3.265 | 27.3 | 23 |
| 1.601 | 57.6 | 23 |
| 1.720 | 53.3 | 22 |
| 1.885 | 48.3 | 19 |
| 1.577 | 58.5 | 16 |
| 2.223 | 40.6 | 16 |

Structure:
```
CaPr3
1.0
7.5413 0.0000 0.0000
-3.7706 6.5309 0.0000
0.0000 0.0000 6.0689
Ca Pr
2 6
Direct
0.3333 0.6667 0.2500 Ca
0.6667 0.3333 0.7500 Ca
0.1649 0.3298 0.7500 Pr
0.1649 0.8351 0.7500 Pr
0.3298 0.1649 0.2500 Pr
0.6702 0.8351 0.7500 Pr
0.8351 0.1649 0.2500 Pr
0.8351 0.6702 0.2500 Pr
```

Structure and computed powder XRD pattern of CaPrRh2 (the GGA-PBE geometry in the Materials Project; a wavelength of 1.5418 Å).

Largest 8 diffraction maxima, in order of falling intensity, 15° ≤ 2θ ≤ 90°:
| d [Å] | 2theta | I/Imax |
| --- | --- | --- |
| 2.477 | 36.3 | 100 |
| 1.430 | 65.2 | 35 |
| 1.751 | 52.2 | 17 |
| 1.108 | 88.2 | 15 |
| 4.044 | 22.0 | 15 |
| 1.238 | 77.0 | 11 |
| 2.112 | 42.8 | 8 |
| 1.607 | 57.3 | 4 |

Structure:
```
CaPrRh2
1.0
0.0000 3.5026 3.5026
3.5026 0.0000 3.5026
3.5026 3.5026 0.0000
Ca Pr Rh
1 1 2
Direct
0.0000 0.0000 0.0000 Ca
0.5000 0.5000 0.5000 Pr
0.2500 0.2500 0.2500 Rh
0.7500 0.7500 0.7500 Rh
```

Structure and computed powder XRD pattern of CaPr8Se12 (the GGA-PBE geometry in the Materials Project; a wavelength of 1.5418 Å).

Largest 8 diffraction maxima, in order of falling intensity, 15° ≤ 2θ ≤ 90°:
| d [Å] | 2theta | I/Imax |
| --- | --- | --- |
| 2.848 | 31.4 | 100 |
| 2.407 | 37.4 | 66 |
| 1.462 | 63.7 | 24 |
| 2.014 | 45.0 | 22 |
| 3.677 | 24.2 | 22 |
| 1.767 | 51.7 | 16 |
| 1.920 | 47.3 | 15 |
| 1.226 | 77.9 | 13 |

Structure:
```
CaPr8Se12
1.0
6.3711 -6.3755 0.0000
6.3711 6.3755 0.0000
-6.3621 0.0000 13.4933
Ca Pr Se
2 16 24
Direct
0.1874 0.8126 0.5000 Ca
0.8126 0.1874 0.0000 Ca
0.1033 0.8555 0.0837 Pr
0.1069 0.9794 0.8335 Pr
0.1451 0.5191 0.6657 Pr
0.1872 0.4382 0.2501 Pr
0.3125 0.4347 0.0000 Pr
0.4347 0.3125 0.5000 Pr
0.4382 0.1872 0.7501 Pr
0.4775 0.8545 0.3342 Pr
0.5191 0.1451 0.1657 Pr
0.5206 0.7734 0.9168 Pr
0.6438 0.7727 0.6668 Pr
0.7734 0.5206 0.4168 Pr
0.7727 0.6438 0.1668 Pr
0.8545 0.4775 0.8342 Pr
0.8555 0.1033 0.5837 Pr
0.9794 0.1069 0.3335 Pr
0.0136 0.5156 0.0498 Se
0.1147 0.4653 0.4507 Se
0.1287 0.2796 0.7828 Se
0.1286 0.7793 0.2849 Se
0.1595 0.1642 0.0497 Se
0.1642 0.1595 0.5497 Se
0.1800 0.6793 0.8834 Se
0.2796 0.1287 0.2828 Se
0.3434 0.8458 0.7160 Se
0.4451 0.7961 0.1170 Se
0.4653 0.1147 0.9507 Se
0.4659 0.6105 0.4499 Se
0.4953 0.4954 0.2163 Se
0.4954 0.4953 0.7163 Se
0.5156 0.0136 0.5498 Se
0.6105 0.4659 0.9499 Se
0.6793 0.1800 0.3834 Se
0.7793 0.1286 0.7849 Se
0.7961 0.4451 0.6170 Se
0.7962 0.9428 0.1178 Se
0.8251 0.8287 0.3820 Se
0.8287 0.8251 0.8820 Se
0.8458 0.3434 0.2160 Se
0.9428 0.7962 0.6178 Se
```

Structure and computed powder XRD pattern of CaPr2Te4 (the GGA-PBE geometry in the Materials Project; a wavelength of 1.5418 Å).

Largest 8 diffraction maxima, in order of falling intensity, 15° ≤ 2θ ≤ 90°:
| d [Å] | 2theta | I/Imax |
| --- | --- | --- |
| 3.032 | 29.5 | 100 |
| 2.565 | 35.0 | 57 |
| 2.577 | 34.8 | 50 |
| 3.057 | 29.2 | 42 |
| 1.959 | 46.3 | 17 |
| 1.557 | 59.4 | 15 |
| 2.146 | 42.1 | 13 |
| 1.555 | 59.4 | 12 |

Structure:
```
CaPr2Te4
1.0
-4.7914 4.7914 4.8386
4.7914 -4.7914 4.8386
4.7914 4.7914 -4.8386
Ca Pr Te
2 4 8
Direct
0.0000 0.0000 0.0000 Ca
0.7500 0.2500 0.5000 Ca
0.2493 0.6250 0.1243 Pr
0.3750 0.4993 0.6243 Pr
0.5007 0.1250 0.8757 Pr
0.8750 0.7507 0.3757 Pr
0.1249 0.2262 0.7478 Te
0.1271 0.7284 0.7522 Te
0.2716 0.0238 0.3987 Te
0.4784 0.3771 0.2522 Te
0.6229 0.8751 0.1013 Te
0.6251 0.8729 0.6013 Te
0.7738 0.5216 0.8987 Te
0.9762 0.3749 0.2478 Te
```

Structure and computed powder XRD pattern of CaPrZn2 (the GGA-PBE geometry in the Materials Project; a wavelength of 1.5418 Å).

Largest 8 diffraction maxima, in order of falling intensity, 15° ≤ 2θ ≤ 90°:
| d [Å] | 2theta | I/Imax |
| --- | --- | --- |
| 2.612 | 34.3 | 100 |
| 1.508 | 61.5 | 35 |
| 4.266 | 20.8 | 21 |
| 1.847 | 49.3 | 17 |
| 1.168 | 82.6 | 15 |
| 2.228 | 40.5 | 12 |
| 1.306 | 72.3 | 11 |
| 1.695 | 54.1 | 5 |

Structure:
```
CaPrZn2
1.0
0.0000 3.6942 3.6942
3.6942 0.0000 3.6942
3.6942 3.6942 0.0000
Ca Pr Zn
1 1 2
Direct
0.0000 0.0000 0.0000 Ca
0.5000 0.5000 0.5000 Pr
0.2500 0.2500 0.2500 Zn
0.7500 0.7500 0.7500 Zn
```

Structure and computed powder XRD pattern of Ca5Pt2 (the GGA-PBE geometry in the Materials Project; a wavelength of 1.5418 Å).

Largest 8 diffraction maxima, in order of falling intensity, 15° ≤ 2θ ≤ 90°:
| d [Å] | 2theta | I/Imax |
| --- | --- | --- |
| 4.651 | 19.1 | 100 |
| 3.831 | 23.2 | 53 |
| 4.045 | 22.0 | 31 |
| 2.612 | 34.3 | 28 |
| 2.559 | 35.1 | 25 |
| 2.382 | 37.8 | 25 |
| 3.628 | 24.5 | 21 |
| 2.443 | 36.8 | 20 |

Structure:
```
Ca5Pt2
1.0
8.1617 -3.3035 0.0000
8.1617 3.3035 0.0000
-1.0196 0.0000 7.5945
Ca Pt
10 4
Direct
0.0749 0.9251 0.7500 Ca
0.1350 0.2990 0.3219 Ca
0.2990 0.1350 0.8219 Ca
0.3007 0.5188 0.0809 Ca
0.4812 0.6993 0.4191 Ca
0.5188 0.3007 0.5809 Ca
0.6993 0.4812 0.9191 Ca
0.7010 0.8650 0.1781 Ca
0.8650 0.7010 0.6781 Ca
0.9251 0.0749 0.2500 Ca
0.0984 0.6791 0.4155 Pt
0.3209 0.9016 0.0845 Pt
0.6791 0.0984 0.9155 Pt
0.9016 0.3209 0.5845 Pt
```

Structure and computed powder XRD pattern of CaPt5 (the GGA-PBE geometry in the Materials Project; a wavelength of 1.5418 Å).

Largest 8 diffraction maxima, in order of falling intensity, 15° ≤ 2θ ≤ 90°:
| d [Å] | 2theta | I/Imax |
| --- | --- | --- |
| 2.068 | 43.8 | 100 |
| 2.305 | 39.1 | 99 |
| 4.675 | 19.0 | 91 |
| 2.216 | 40.7 | 39 |
| 1.153 | 84.0 | 30 |
| 2.338 | 38.5 | 24 |
| 1.470 | 63.3 | 24 |
| 1.350 | 69.7 | 24 |

Structure:
```
CaPt5
1.0
5.3988 0.0000 0.0000
-2.6994 4.6755 0.0000
0.0000 0.0000 4.4311
Ca Pt
1 5
Direct
0.0000 0.0000 0.0000 Ca
0.0000 0.5000 0.5000 Pt
0.3333 0.6667 0.0000 Pt
0.5000 0.0000 0.5000 Pt
0.5000 0.5000 0.5000 Pt
0.6667 0.3333 0.0000 Pt
```

Structure and computed powder XRD pattern of CaSbPt (the GGA-PBE geometry in the Materials Project; a wavelength of 1.5418 Å).

Largest 8 diffraction maxima, in order of falling intensity, 15° ≤ 2θ ≤ 90°:
| d [Å] | 2theta | I/Imax |
| --- | --- | --- |
| 2.305 | 39.1 | 100 |
| 2.719 | 32.9 | 75 |
| 3.700 | 24.1 | 58 |
| 2.356 | 38.2 | 58 |
| 2.320 | 38.8 | 57 |
| 4.010 | 22.2 | 56 |
| 1.957 | 46.4 | 49 |
| 1.911 | 47.6 | 49 |

Structure:
```
CaSbPt
1.0
7.4002 0.0000 0.0000
0.0000 4.6408 0.0000
0.0000 0.0000 7.9690
Ca Sb Pt
4 4 4
Direct
0.0079 0.2500 0.1981 Ca
0.4921 0.7500 0.6981 Ca
0.5079 0.2500 0.3019 Ca
0.9921 0.7500 0.8019 Ca
0.1861 0.2500 0.5905 Sb
0.3139 0.7500 0.0905 Sb
0.6861 0.2500 0.9095 Sb
0.8139 0.7500 0.4095 Sb
0.1977 0.7500 0.4152 Pt
0.3023 0.2500 0.9152 Pt
0.6977 0.7500 0.0848 Pt
0.8023 0.2500 0.5848 Pt
```

Structure and computed powder XRD pattern of Ca10Si3Pt7 (the GGA-PBE geometry in the Materials Project; a wavelength of 1.5418 Å).

Largest 8 diffraction maxima, in order of falling intensity, 15° ≤ 2θ ≤ 90°:
| d [Å] | 2theta | I/Imax |
| --- | --- | --- |
| 2.451 | 36.7 | 100 |
| 2.726 | 32.9 | 92 |
| 3.825 | 23.3 | 82 |
| 1.928 | 47.1 | 81 |
| 4.208 | 21.1 | 70 |
| 2.550 | 35.2 | 63 |
| 3.192 | 28.0 | 53 |
| 5.135 | 17.3 | 52 |

Structure:
```
Ca10Si3Pt7
1.0
8.8339 0.0000 0.0000
-4.4170 7.6504 0.0000
0.0000 0.0000 13.8555
Ca Si Pt
20 6 14
Direct
0.0000 0.2590 0.1064 Ca
0.0000 0.2590 0.3936 Ca
0.0000 0.7410 0.6064 Ca
0.0000 0.7410 0.8936 Ca
0.2590 0.0000 0.1064 Ca
0.2590 0.0000 0.3936 Ca
0.2590 0.2590 0.6064 Ca
0.2590 0.2590 0.8936 Ca
0.3333 0.6667 0.0000 Ca
0.3333 0.6667 0.2500 Ca
0.3333 0.6667 0.5000 Ca
0.3333 0.6667 0.7500 Ca
0.6667 0.3333 0.0000 Ca
0.6667 0.3333 0.2500 Ca
0.6667 0.3333 0.5000 Ca
0.6667 0.3333 0.7500 Ca
0.7410 0.0000 0.6064 Ca
0.7410 0.0000 0.8936 Ca
0.7410 0.7410 0.1064 Ca
0.7410 0.7410 0.3936 Ca
0.0000 0.2812 0.7500 Si
0.0000 0.7188 0.2500 Si
0.2812 0.0000 0.7500 Si
0.2812 0.2812 0.2500 Si
0.7188 0.0000 0.2500 Si
0.7188 0.7188 0.7500 Si
0.0000 0.0000 0.2500 Pt
0.0000 0.0000 0.7500 Pt
0.0000 0.4091 0.5994 Pt
0.0000 0.4091 0.9006 Pt
0.0000 0.5909 0.0994 Pt
0.0000 0.5909 0.4006 Pt
0.4091 0.0000 0.5994 Pt
0.4091 0.0000 0.9006 Pt
0.4091 0.4091 0.0994 Pt
0.4091 0.4091 0.4006 Pt
0.5909 0.0000 0.0994 Pt
0.5909 0.0000 0.4006 Pt
0.5909 0.5909 0.5994 Pt
0.5909 0.5909 0.9006 Pt
```

Structure and computed powder XRD pattern of CaSi3Pt (the GGA-PBE geometry in the Materials Project; a wavelength of 1.5418 Å).

Largest 8 diffraction maxima, in order of falling intensity, 15° ≤ 2θ ≤ 90°:
| d [Å] | 2theta | I/Imax |
| --- | --- | --- |
| 3.902 | 22.8 | 100 |
| 2.618 | 34.3 | 69 |
| 2.570 | 34.9 | 40 |
| 4.993 | 17.8 | 40 |
| 2.997 | 29.8 | 39 |
| 2.119 | 42.7 | 36 |
| 1.647 | 55.8 | 34 |
| 1.918 | 47.4 | 30 |

Structure:
```
CaSi3Pt
1.0
-2.1194 2.1194 4.9930
2.1194 -2.1194 4.9930
2.1194 2.1194 -4.9930
Ca Si Pt
1 3 1
Direct
0.0000 0.0000 0.0000 Ca
0.2606 0.7606 0.5000 Si
0.4021 0.4021 0.0000 Si
0.7606 0.2606 0.5000 Si
0.6424 0.6424 0.0000 Pt
```

Structure and computed powder XRD pattern of Ca2Sn5Pt3 (the GGA-PBE geometry in the Materials Project; a wavelength of 1.5418 Å).

Largest 8 diffraction maxima, in order of falling intensity, 15° ≤ 2θ ≤ 90°:
| d [Å] | 2theta | I/Imax |
| --- | --- | --- |
| 2.744 | 32.6 | 100 |
| 2.071 | 43.7 | 73 |
| 2.255 | 40.0 | 65 |
| 2.720 | 32.9 | 55 |
| 3.827 | 23.2 | 34 |
| 4.996 | 17.8 | 33 |
| 4.464 | 19.9 | 32 |
| 2.143 | 42.2 | 31 |

Structure:
```
Ca2Sn5Pt3
1.0
7.4995 0.0000 0.0000
0.0000 4.5099 0.0000
0.0000 0.0000 26.7951
Ca Sn Pt
8 20 12
Direct
0.2146 0.2500 0.2266 Ca
0.2469 0.2500 0.9234 Ca
0.2531 0.7500 0.4234 Ca
0.2854 0.7500 0.7266 Ca
0.7146 0.2500 0.2734 Ca
0.7469 0.2500 0.5766 Ca
0.7531 0.7500 0.0766 Ca
0.7854 0.7500 0.7734 Ca
0.0358 0.7500 0.5434 Sn
0.0399 0.2500 0.0435 Sn
0.0925 0.2500 0.3469 Sn
0.1220 0.2500 0.7982 Sn
0.2121 0.7500 0.1310 Sn
0.2879 0.2500 0.6310 Sn
0.3780 0.7500 0.2982 Sn
0.4075 0.7500 0.8469 Sn
0.4601 0.7500 0.5435 Sn
0.4642 0.2500 0.0434 Sn
0.5358 0.7500 0.9566 Sn
0.5399 0.2500 0.4565 Sn
0.5925 0.2500 0.1531 Sn
0.6220 0.2500 0.7018 Sn
0.7121 0.7500 0.3690 Sn
0.7879 0.2500 0.8690 Sn
0.8780 0.7500 0.2018 Sn
0.9075 0.7500 0.6531 Sn
0.9601 0.7500 0.9565 Sn
0.9642 0.2500 0.4566 Sn
0.9996 0.2500 0.7004 Pt
0.0004 0.7500 0.2996 Pt
0.0404 0.7500 0.8572 Pt
0.2439 0.2500 0.5274 Pt
0.2561 0.7500 0.0274 Pt
0.4596 0.2500 0.3572 Pt
0.4996 0.2500 0.7996 Pt
0.5004 0.7500 0.2004 Pt
0.5404 0.7500 0.6428 Pt
0.7439 0.2500 0.9726 Pt
0.7561 0.7500 0.4726 Pt
0.9596 0.2500 0.1428 Pt
```